The following is a simulated X-ray diffraction stick pattern of GdDyTa2Si2. It was derived from a crystal structure in OQMD, relaxed with PBE, using Cu Kα X-rays.

Cell and atoms:
a b c (Å): 4.0085 4.0085 7.8064
angles (deg): 90.00 90.00 90.00
Sites, in units of the cell vectors:
1 Gd 0.0000 0.0000 0.0000
2 Dy 0.5000 0.5000 0.7051
3 Ta 0.0000 0.5000 0.3544
4 Ta 0.5000 0.0000 0.3544
5 Si 0.0000 0.0000 0.5915
6 Si 0.5000 0.5000 0.1174

Most intense lines, 2θ = 15–90°, in order of falling intensity:
d (Å)	two_theta	intensity
2.664	33.6	100
2.293	39.3	56
2.004	45.2	40
2.796	32.0	38
2.602	34.5	33
1.588	58.1	29
3.566	25.0	27
1.607	57.3	24

The following is a simulated X-ray diffraction stick pattern of Nb4InO5F. It was derived from a crystal structure in OQMD, relaxed with PBE, using Cu Kα X-rays.

Cell and atoms:
a b c (Å): 4.1858 4.1858 8.4879
angles (deg): 90.00 90.00 90.00
Sites, in units of the cell vectors:
1 Nb 0.0000 0.0000 0.2376
2 Nb 0.0000 0.0000 0.7624
3 Nb 0.0000 0.5000 0.0000
4 Nb 0.5000 0.0000 0.0000
5 In 0.5000 0.5000 0.5000
6 O 0.0000 0.5000 0.2489
7 O 0.0000 0.5000 0.7511
8 O 0.5000 0.0000 0.2489
9 O 0.5000 0.0000 0.7511
10 O 0.5000 0.5000 0.0000
11 F 0.0000 0.0000 0.5000

Most intense lines, 2θ = 15–90°, in order of falling intensity:
d (Å)	two_theta	intensity
2.980	30.0	100
2.795	32.0	81
2.093	43.2	70
2.045	44.3	46
1.490	62.3	42
1.713	53.5	38
2.122	42.6	35
1.480	62.8	21

The following is a simulated X-ray diffraction stick pattern of LiFe6Ge5. It was derived from a crystal structure in OQMD, relaxed with PBE, using Cu Kα X-rays.

Cell and atoms:
a b c (Å): 14.7639 14.7639 14.7639
angles (deg): 19.51 19.51 19.51
Sites, in units of the cell vectors:
1 Li 0.0878 0.0878 0.0878
2 Li 0.9122 0.9122 0.9122
3 Fe 0.0460 0.5463 0.5463
4 Fe 0.1462 0.6355 0.6355
5 Fe 0.3645 0.3645 0.8538
6 Fe 0.3645 0.8538 0.3645
7 Fe 0.4537 0.4537 0.9540
8 Fe 0.4537 0.9540 0.4537
9 Fe 0.5463 0.0460 0.5463
10 Fe 0.5463 0.5463 0.0460
11 Fe 0.6355 0.1462 0.6355
12 Fe 0.6355 0.6355 0.1462
13 Fe 0.8538 0.3645 0.3645
14 Fe 0.9540 0.4537 0.4537
15 Ge 0.0296 0.0296 0.0296
16 Ge 0.1476 0.1476 0.1476
17 Ge 0.2409 0.2409 0.2409
18 Ge 0.3334 0.3334 0.3334
19 Ge 0.4254 0.4254 0.4254
20 Ge 0.5746 0.5746 0.5746
21 Ge 0.6666 0.6666 0.6666
22 Ge 0.7591 0.7591 0.7591
23 Ge 0.8524 0.8524 0.8524
24 Ge 0.9704 0.9704 0.9704

Most intense lines, 2θ = 15–90°, in order of falling intensity:
d (Å)	two_theta	intensity
1.900	47.9	100
1.939	46.9	98
2.502	35.9	55
2.058	44.0	53
2.164	41.7	47
2.068	43.8	45
1.251	76.1	43
2.221	40.6	28

The following is a simulated X-ray diffraction stick pattern of ZrI2Br2. It was derived from a crystal structure in OQMD, relaxed with PBE, using Cu Kα X-rays.

Cell and atoms:
a b c (Å): 7.2092 8.7314 6.7251
angles (deg): 90.00 106.66 90.00
Sites, in units of the cell vectors:
1 Zr 0.0000 0.1464 0.2500
2 Zr 0.0000 0.8536 0.7500
3 I 0.2569 0.3513 0.4818
4 I 0.2569 0.6487 0.9818
5 I 0.7431 0.3513 0.0182
6 I 0.7431 0.6487 0.5182
7 Br 0.2149 0.0974 0.9910
8 Br 0.2149 0.9026 0.4910
9 Br 0.7851 0.0974 0.5090
10 Br 0.7851 0.9026 0.0090

Most intense lines, 2θ = 15–90°, in order of falling intensity:
d (Å)	two_theta	intensity
3.009	29.7	100
3.437	25.9	56
4.699	18.9	44
2.788	32.1	42
2.101	43.1	31
1.994	45.5	30
3.220	27.7	29
3.453	25.8	29

The following is a simulated X-ray diffraction stick pattern of Cu2Ag7. It was derived from a crystal structure in OQMD, relaxed with PBE, using Cu Kα X-rays.

Cell and atoms:
a b c (Å): 6.3535 6.3535 8.6843
angles (deg): 103.55 103.55 25.98
Sites, in units of the cell vectors:
1 Cu 0.1714 0.1714 0.0506
2 Cu 0.8286 0.8286 0.9494
3 Ag 0.1668 0.1668 0.3846
4 Ag 0.1712 0.1712 0.7368
5 Ag 0.4993 0.4993 0.8423
6 Ag 0.5000 0.5000 0.5000
7 Ag 0.5007 0.5007 0.1577
8 Ag 0.8288 0.8288 0.2632
9 Ag 0.8332 0.8332 0.6154

Most intense lines, 2θ = 15–90°, in order of falling intensity:
d (Å)	two_theta	intensity
2.326	38.7	100
2.033	44.6	64
2.354	38.2	51
2.339	38.5	49
2.003	45.3	31
1.430	65.2	19
1.424	65.6	19
1.210	79.2	16

The following is a simulated X-ray diffraction stick pattern of Cu7Ag2. It was derived from a crystal structure in OQMD, relaxed with PBE, using Cu Kα X-rays.

Cell and atoms:
a b c (Å): 6.9790 6.9790 6.4239
angles (deg): 91.69 91.69 22.39
Sites, in units of the cell vectors:
1 Cu 0.0000 0.0000 0.0000
2 Cu 0.1042 0.1042 0.6606
3 Cu 0.3442 0.3442 0.0171
4 Cu 0.4514 0.4514 0.6708
5 Cu 0.5486 0.5486 0.3292
6 Cu 0.6558 0.6558 0.9829
7 Cu 0.8958 0.8958 0.3394
8 Ag 0.2187 0.2187 0.3170
9 Ag 0.7813 0.7813 0.6830

Most intense lines, 2θ = 15–90°, in order of falling intensity:
d (Å)	two_theta	intensity
2.180	41.4	100
1.900	47.9	66
2.170	41.6	49
2.140	42.2	46
1.834	49.7	26
1.326	71.1	16
1.313	71.9	15
1.149	84.2	11

The following is a simulated X-ray diffraction stick pattern of Zn. It was derived from a crystal structure in OQMD, relaxed with PBE, using Cu Kα X-rays.

Cell and atoms:
a b c (Å): 2.7063 4.6384 4.6198
angles (deg): 90.00 90.00 90.00
Sites, in units of the cell vectors:
1 Zn 0.0000 0.1665 0.2500
2 Zn 0.0000 0.8335 0.7500
3 Zn 0.5000 0.3335 0.7500
4 Zn 0.5000 0.6665 0.2500

Most intense lines, 2θ = 15–90°, in order of falling intensity:
d (Å)	two_theta	intensity
2.086	43.4	100
2.073	43.7	49
2.310	39.0	46
2.338	38.5	24
1.161	83.2	19
1.286	73.7	19
1.643	56.0	15
1.342	70.1	15

The following is a simulated X-ray diffraction stick pattern of Na2ErGa4. It was derived from a crystal structure in OQMD, relaxed with PBE, using Cu Kα X-rays.

Cell and atoms:
a b c (Å): 7.4072 7.4072 5.1390
angles (deg): 90.00 90.00 90.00
Sites, in units of the cell vectors:
1 Na 0.0000 0.5000 0.2500
2 Na 0.0000 0.5000 0.7500
3 Na 0.5000 0.0000 0.2500
4 Na 0.5000 0.0000 0.7500
5 Er 0.0000 0.0000 0.0000
6 Er 0.5000 0.5000 0.5000
7 Ga 0.1880 0.1880 0.5000
8 Ga 0.1880 0.8120 0.5000
9 Ga 0.3120 0.3120 0.0000
10 Ga 0.3120 0.6880 0.0000
11 Ga 0.6880 0.3120 0.0000
12 Ga 0.6880 0.6880 0.0000
13 Ga 0.8120 0.1880 0.5000
14 Ga 0.8120 0.8120 0.5000

Most intense lines, 2θ = 15–90°, in order of falling intensity:
d (Å)	two_theta	intensity
2.784	32.1	100
2.226	40.5	84
5.238	16.9	49
2.619	34.2	47
2.307	39.0	32
2.570	34.9	28
1.444	64.5	23
1.329	70.9	21

The following is a simulated X-ray diffraction stick pattern of K2AlPdBr6. It was derived from a crystal structure in OQMD, relaxed with PBE, using Cu Kα X-rays.

Cell and atoms:
a b c (Å): 7.4495 7.4495 7.4495
angles (deg): 60.00 60.00 60.00
Sites, in units of the cell vectors:
1 K 0.2500 0.2500 0.2500
2 K 0.7500 0.7500 0.7500
3 Al 0.0000 0.0000 0.0000
4 Pd 0.5000 0.5000 0.5000
5 Br 0.2421 0.2421 0.7579
6 Br 0.2421 0.7579 0.2421
7 Br 0.2421 0.7579 0.7579
8 Br 0.7579 0.2421 0.2421
9 Br 0.7579 0.2421 0.7579
10 Br 0.7579 0.7579 0.2421

Most intense lines, 2θ = 15–90°, in order of falling intensity:
d (Å)	two_theta	intensity
2.634	34.0	100
3.041	29.4	76
1.862	48.9	69
5.268	16.8	55
1.588	58.1	30
1.178	81.8	29
2.356	38.2	27
1.521	60.9	23

The following is a simulated X-ray diffraction stick pattern of ErTm2Cd3CuAu2. It was derived from a crystal structure in OQMD, relaxed with PBE, using Cu Kα X-rays.

Cell and atoms:
a b c (Å): 3.8283 7.6305 7.6305
angles (deg): 120.04 90.00 90.00
Sites, in units of the cell vectors:
1 Er 0.0000 0.0000 0.0000
2 Tm 0.0000 0.1827 0.5913
3 Tm 0.0000 0.5913 0.1827
4 Cd 0.5000 0.3453 0.3453
5 Cd 0.5000 0.5913 0.8371
6 Cd 0.5000 0.8371 0.5913
7 Cu 0.0000 0.5907 0.5907
8 Au 0.5000 0.2588 0.9243
9 Au 0.5000 0.9243 0.2588

Most intense lines, 2θ = 15–90°, in order of falling intensity:
d (Å)	two_theta	intensity
2.499	35.9	100
2.702	33.2	80
2.202	41.0	27
1.409	66.3	20
2.092	43.3	18
1.914	47.5	17
1.519	61.0	17
1.445	64.5	14

The following is a simulated X-ray diffraction stick pattern of Ni6SnSb. It was derived from a crystal structure in OQMD, relaxed with PBE, using Cu Kα X-rays.

Cell and atoms:
a b c (Å): 3.7214 3.7214 7.4462
angles (deg): 90.00 90.00 90.00
Sites, in units of the cell vectors:
1 Ni 0.0000 0.0000 0.0000
2 Ni 0.0000 0.0000 0.5000
3 Ni 0.0000 0.5000 0.2482
4 Ni 0.0000 0.5000 0.7518
5 Ni 0.5000 0.0000 0.2482
6 Ni 0.5000 0.0000 0.7518
7 Sn 0.5000 0.5000 0.5000
8 Sb 0.5000 0.5000 0.0000

Most intense lines, 2θ = 15–90°, in order of falling intensity:
d (Å)	two_theta	intensity
2.149	42.0	100
1.861	48.9	47
1.122	86.8	35
1.316	71.7	29
3.722	23.9	10
2.632	34.1	8
1.665	55.2	5
1.519	61.0	4

The following is a simulated X-ray diffraction stick pattern of Rb4GeWSe6. It was derived from a crystal structure in OQMD, relaxed with PBE, using Cu Kα X-rays.

Cell and atoms:
a b c (Å): 7.1740 7.8821 9.6003
angles (deg): 70.22 68.93 64.15
Sites, in units of the cell vectors:
1 Rb 0.0000 0.0000 0.0000
2 Rb 0.1891 0.3749 0.2523
3 Rb 0.4032 0.7456 0.4628
4 Rb 0.7443 0.6769 0.8252
5 Ge 0.4576 0.2526 0.8274
6 W 0.7207 0.1293 0.4378
7 Se 0.2715 0.5788 0.8643
8 Se 0.3764 0.1739 0.6093
9 Se 0.4677 0.0075 0.0583
10 Se 0.7078 0.3734 0.2142
11 Se 0.8294 0.1935 0.6156
12 Se 0.9032 0.8081 0.4058

Most intense lines, 2θ = 15–90°, in order of falling intensity:
d (Å)	two_theta	intensity
3.585	24.8	100
3.488	25.5	62
3.382	26.4	55
1.793	50.9	40
5.821	15.2	35
2.922	30.6	35
5.783	15.3	32
2.122	42.6	29